(1)
Simulated powder X-ray diffraction pattern of LiTa2Te4Br10O for Cu Kα X-rays, from a DFT-relaxed cell (GGA-PBE, Alexandria).
Neutral-atom scattering factors, no anomalous dispersion.

Structural model:
Unit cell a=8.198 b=8.937 c=9.638 alpha=92.89 beta=90.26 gamma=106.67
Element x y z (fractional)
Li (0.000, 0.000, 0.000)
Ta (0.802, 0.595, 0.073)
Ta (0.859, 0.334, 0.359)
Te (0.139, 0.878, 0.575)
Te (0.230, 0.150, 0.746)
Te (0.394, 0.783, 0.698)
Te (0.495, 0.056, 0.862)
Br (0.045, 0.213, 0.192)
Br (0.101, 0.790, 0.113)
Br (0.151, 0.529, 0.432)
Br (0.503, 0.425, 0.009)
Br (0.592, 0.139, 0.274)
Br (0.680, 0.750, 0.244)
Br (0.714, 0.473, 0.522)
Br (0.759, 0.800, 0.878)
Br (0.892, 0.146, 0.546)
Br (0.920, 0.458, 0.883)
O (0.840, 0.467, 0.210)

The 12 most intense peaks (10 to 90 degrees two-theta), most intense first:
| Position (°2θ) | intensity |
| --- | --- |
| 14.42 | 1000 |
| 22.28 | 688 |
| 14.22 | 617 |
| 20.69 | 556 |
| 27.16 | 442 |
| 11.27 | 427 |
| 28.39 | 410 |
| 12.93 | 397 |
| 17.39 | 355 |
| 32.49 | 336 |
| 29.47 | 326 |
| 31.68 | 312 |


(2)
Simulated powder X-ray diffraction pattern of LiPa2Br11 for Cu Kα X-rays, from a DFT-relaxed cell (GGA-PBE, Alexandria).
Neutral-atom scattering factors, no anomalous dispersion.

Structural model:
Unit cell a=12.672 b=12.672 c=12.672 alpha=130.08 beta=91.51 gamma=109.26
Element x y z (fractional)
Li (0.250, 0.250, 0.000)
Li (0.750, 0.750, 0.000)
Pa (0.083, 0.733, 0.816)
Pa (0.417, 0.233, 0.650)
Pa (0.583, 0.767, 0.350)
Pa (0.917, 0.267, 0.184)
Br (0.000, 0.500, 0.500)
Br (0.037, 0.507, 0.808)
Br (0.109, 0.945, 0.798)
Br (0.147, 0.311, 0.202)
Br (0.158, 0.948, 0.105)
Br (0.199, 0.007, 0.469)
Br (0.301, 0.771, 0.808)
Br (0.342, 0.448, 0.790)
Br (0.353, 0.555, 0.163)
Br (0.391, 0.189, 0.837)
Br (0.463, 0.271, 0.469)
Br (0.500, 0.000, 0.500)
Br (0.537, 0.729, 0.531)
Br (0.609, 0.811, 0.163)
Br (0.647, 0.445, 0.837)
Br (0.658, 0.552, 0.210)
Br (0.699, 0.229, 0.192)
Br (0.801, 0.993, 0.531)
Br (0.842, 0.052, 0.895)
Br (0.853, 0.689, 0.798)
Br (0.891, 0.055, 0.202)
Br (0.963, 0.493, 0.192)

The 12 most intense peaks (10 to 90 degrees two-theta), most intense first:
| Position (°2θ) | intensity |
| --- | --- |
| 14.33 | 1000 |
| 12.06 | 548 |
| 10.00 | 305 |
| 28.47 | 286 |
| 29.88 | 203 |
| 29.28 | 185 |
| 42.84 | 177 |
| 16.58 | 157 |
| 36.92 | 152 |
| 32.85 | 144 |
| 22.38 | 128 |
| 19.40 | 123 |


(3)
Simulated powder X-ray diffraction pattern of Li3PaBr8 for Cu Kα X-rays, from a DFT-relaxed cell (GGA-PBE, Alexandria).
Neutral-atom scattering factors, no anomalous dispersion.

Structural model:
Unit cell a=8.164 b=8.164 c=8.337 alpha=119.51 beta=119.51 gamma=60.00
Element x y z (fractional)
Li (0.000, 0.000, 0.000)
Li (0.000, 0.500, 0.000)
Li (0.500, 0.000, 0.000)
Pa (0.500, 0.500, 0.000)
Br (0.221, 0.221, 0.163)
Br (0.266, 0.266, 0.764)
Br (0.266, 0.731, 0.764)
Br (0.269, 0.734, 0.236)
Br (0.731, 0.266, 0.764)
Br (0.734, 0.269, 0.236)
Br (0.734, 0.734, 0.236)
Br (0.779, 0.779, 0.837)

The 12 most intense peaks (10 to 90 degrees two-theta), most intense first:
| Position (°2θ) | intensity |
| --- | --- |
| 30.69 | 1000 |
| 13.24 | 584 |
| 12.91 | 499 |
| 15.21 | 401 |
| 25.39 | 386 |
| 44.38 | 378 |
| 26.66 | 324 |
| 43.57 | 189 |
| 45.96 | 169 |
| 21.77 | 168 |
| 34.12 | 127 |
| 46.42 | 121 |


(4)
Simulated powder X-ray diffraction pattern of LiPa2Br8 for Cu Kα X-rays, from a DFT-relaxed cell (GGA-PBE, Alexandria).
Neutral-atom scattering factors, no anomalous dispersion.

Structural model:
Unit cell a=9.023 b=9.023 c=5.855 alpha=90.00 beta=90.00 gamma=120.00
Element x y z (fractional)
Li (0.000, 0.000, 0.000)
Pa (0.333, 0.667, 0.231)
Pa (0.667, 0.333, 0.769)
Br (0.157, 0.316, 0.246)
Br (0.159, 0.843, 0.246)
Br (0.316, 0.159, 0.754)
Br (0.333, 0.667, 0.737)
Br (0.667, 0.333, 0.263)
Br (0.684, 0.841, 0.246)
Br (0.841, 0.157, 0.754)
Br (0.843, 0.684, 0.754)

The 12 most intense peaks (10 to 90 degrees two-theta), most intense first:
| Position (°2θ) | intensity |
| --- | --- |
| 18.94 | 1000 |
| 22.76 | 728 |
| 19.68 | 708 |
| 39.97 | 670 |
| 51.12 | 626 |
| 34.00 | 620 |
| 30.54 | 458 |
| 11.32 | 392 |
| 38.42 | 386 |
| 36.59 | 273 |
| 44.58 | 215 |
| 30.26 | 188 |


(5)
Simulated powder X-ray diffraction pattern of RbLi2PaBr8 for Cu Kα X-rays, from a DFT-relaxed cell (GGA-PBE, Alexandria).
Neutral-atom scattering factors, no anomalous dispersion.

Structural model:
Unit cell a=8.116 b=8.116 c=9.960 alpha=113.49 beta=113.49 gamma=88.40
Element x y z (fractional)
Rb (0.000, 0.000, 0.000)
Li (0.409, 0.409, 0.561)
Li (0.591, 0.591, 0.439)
Pa (0.000, 0.000, 0.500)
Br (0.153, 0.813, 0.680)
Br (0.187, 0.847, 0.320)
Br (0.284, 0.284, 0.710)
Br (0.339, 0.339, 0.281)
Br (0.661, 0.661, 0.719)
Br (0.716, 0.716, 0.290)
Br (0.813, 0.153, 0.680)
Br (0.847, 0.187, 0.320)

The 12 most intense peaks (10 to 90 degrees two-theta), most intense first:
| Position (°2θ) | intensity |
| --- | --- |
| 12.04 | 1000 |
| 24.67 | 783 |
| 37.15 | 754 |
| 10.69 | 750 |
| 28.80 | 727 |
| 15.66 | 572 |
| 29.84 | 498 |
| 19.67 | 323 |
| 18.34 | 302 |
| 36.72 | 286 |
| 46.01 | 265 |
| 12.26 | 252 |


(6)
Simulated powder X-ray diffraction pattern of Li2PbBr4 for Cu Kα X-rays, from a DFT-relaxed cell (GGA-PBE, Alexandria).
Neutral-atom scattering factors, no anomalous dispersion.

Structural model:
Unit cell a=6.005 b=6.005 c=6.626 alpha=90.00 beta=90.00 gamma=90.00
Element x y z (fractional)
Li (0.000, 0.500, 0.000)
Li (0.500, 0.000, 0.000)
Pb (0.000, 0.000, 0.500)
Br (0.266, 0.266, 0.782)
Br (0.266, 0.734, 0.218)
Br (0.734, 0.266, 0.218)
Br (0.734, 0.734, 0.782)

The 12 most intense peaks (10 to 90 degrees two-theta), most intense first:
| Position (°2θ) | intensity |
| --- | --- |
| 24.91 | 1000 |
| 19.95 | 494 |
| 40.55 | 483 |
| 14.75 | 311 |
| 49.96 | 281 |
| 42.58 | 226 |
| 36.09 | 224 |
| 32.75 | 222 |
| 30.83 | 216 |
| 20.92 | 192 |
| 33.36 | 179 |
| 34.33 | 155 |


(7)
Simulated powder X-ray diffraction pattern of Li2PbBr4 for Cu Kα X-rays, from a DFT-relaxed cell (GGA-PBE, Alexandria).
Neutral-atom scattering factors, no anomalous dispersion.

Structural model:
Unit cell a=8.541 b=8.337 c=10.598 alpha=51.97 beta=50.25 gamma=77.79
Element x y z (fractional)
Li (0.178, 0.822, 0.270)
Li (0.520, 0.980, 0.428)
Li (0.822, 0.178, 0.730)
Li (0.980, 0.520, 0.072)
Pb (0.235, 0.235, 0.765)
Pb (0.485, 0.485, 0.015)
Br (0.022, 0.928, 0.830)
Br (0.030, 0.420, 0.322)
Br (0.374, 0.575, 0.757)
Br (0.420, 0.030, 0.228)
Br (0.493, 0.955, 0.876)
Br (0.575, 0.374, 0.295)
Br (0.928, 0.022, 0.220)
Br (0.955, 0.493, 0.675)

The 12 most intense peaks (10 to 90 degrees two-theta), most intense first:
| Position (°2θ) | intensity |
| --- | --- |
| 14.14 | 1000 |
| 35.59 | 682 |
| 22.18 | 617 |
| 28.51 | 532 |
| 26.36 | 506 |
| 25.94 | 417 |
| 42.58 | 376 |
| 16.74 | 325 |
| 21.78 | 282 |
| 48.19 | 246 |
| 33.00 | 229 |
| 36.60 | 213 |


(8)
Simulated powder X-ray diffraction pattern of Li2PuPbBr8 for Cu Kα X-rays, from a DFT-relaxed cell (GGA-PBE, Alexandria).
Neutral-atom scattering factors, no anomalous dispersion.

Structural model:
Unit cell a=6.998 b=7.252 c=8.840 alpha=72.24 beta=89.81 gamma=78.33
Element x y z (fractional)
Li (0.039, 0.148, 0.326)
Li (0.961, 0.852, 0.674)
Pu (0.500, 0.500, 0.000)
Pb (0.500, 0.500, 0.500)
Br (0.103, 0.772, 0.435)
Br (0.140, 0.749, 0.950)
Br (0.374, 0.282, 0.828)
Br (0.384, 0.260, 0.289)
Br (0.616, 0.740, 0.711)
Br (0.626, 0.718, 0.172)
Br (0.860, 0.251, 0.050)
Br (0.897, 0.228, 0.565)

The 12 most intense peaks (10 to 90 degrees two-theta), most intense first:
| Position (°2θ) | intensity |
| --- | --- |
| 29.38 | 1000 |
| 13.11 | 577 |
| 12.94 | 529 |
| 16.39 | 422 |
| 31.73 | 411 |
| 21.15 | 340 |
| 43.65 | 330 |
| 43.20 | 277 |
| 20.34 | 262 |
| 24.12 | 251 |
| 40.83 | 200 |
| 43.99 | 170 |


(9)
Simulated powder X-ray diffraction pattern of RbLi3Pb4Br12 for Cu Kα X-rays, from a DFT-relaxed cell (GGA-PBE, Alexandria).
Neutral-atom scattering factors, no anomalous dispersion.

Structural model:
Unit cell a=9.635 b=9.635 c=9.635 alpha=109.47 beta=109.47 gamma=109.47
Element x y z (fractional)
Rb (0.000, 0.000, 0.000)
Li (0.000, 0.500, 0.500)
Li (0.500, 0.000, 0.500)
Li (0.500, 0.500, 0.000)
Pb (0.000, 0.000, 0.500)
Pb (0.000, 0.500, 0.000)
Pb (0.500, 0.000, 0.000)
Pb (0.500, 0.500, 0.500)
Br (0.156, 0.321, 0.835)
Br (0.165, 0.487, 0.321)
Br (0.165, 0.844, 0.679)
Br (0.321, 0.165, 0.487)
Br (0.321, 0.835, 0.156)
Br (0.487, 0.321, 0.165)
Br (0.513, 0.679, 0.835)
Br (0.679, 0.165, 0.844)
Br (0.679, 0.835, 0.513)
Br (0.835, 0.156, 0.321)
Br (0.835, 0.513, 0.679)
Br (0.844, 0.679, 0.165)

The 12 most intense peaks (10 to 90 degrees two-theta), most intense first:
| Position (°2θ) | intensity |
| --- | --- |
| 39.69 | 1000 |
| 15.93 | 954 |
| 36.10 | 877 |
| 25.31 | 683 |
| 22.60 | 653 |
| 30.05 | 423 |
| 72.02 | 421 |
| 32.18 | 326 |
| 54.73 | 274 |
| 69.69 | 267 |
| 51.98 | 265 |
| 47.66 | 213 |


(10)
Simulated powder X-ray diffraction pattern of Rb2Li3PbBr8 for Cu Kα X-rays, from a DFT-relaxed cell (GGA-PBE, Alexandria).
Neutral-atom scattering factors, no anomalous dispersion.

Structural model:
Unit cell a=9.741 b=9.741 c=9.741 alpha=51.01 beta=51.01 gamma=51.01
Element x y z (fractional)
Rb (0.000, 0.000, 0.000)
Rb (0.351, 0.351, 0.351)
Li (0.330, 0.330, 0.927)
Li (0.330, 0.927, 0.330)
Li (0.927, 0.330, 0.330)
Pb (0.810, 0.810, 0.810)
Br (0.091, 0.091, 0.569)
Br (0.091, 0.569, 0.091)
Br (0.129, 0.129, 0.129)
Br (0.202, 0.613, 0.613)
Br (0.569, 0.091, 0.091)
Br (0.613, 0.202, 0.613)
Br (0.613, 0.613, 0.202)
Br (0.702, 0.702, 0.702)

The 12 most intense peaks (10 to 90 degrees two-theta), most intense first:
| Position (°2θ) | intensity |
| --- | --- |
| 43.11 | 1000 |
| 14.05 | 920 |
| 21.18 | 864 |
| 23.68 | 655 |
| 30.02 | 610 |
| 30.27 | 583 |
| 10.47 | 570 |
| 28.32 | 553 |
| 54.55 | 531 |
| 31.76 | 516 |
| 33.39 | 470 |
| 32.81 | 463 |